Record 1
The following is a computed X-ray diffraction stick pattern of Cd4SbPCl2. It was derived from DFT lattice parameters and positions (GGA-PBE), using copper Kα.
Peak positions follow from Bragg's law for the DFT cell and can differ from measured ones.

Structure:
```
Cd4SbPCl2
1.0
5.5509 -6.8592 0.0000
5.5509 6.8592 0.0000
-5.2376 0.0000 5.5577
Cd Sb P Cl
8 2 2 4
direct
0.2040 0.3175 0.5105
0.2165 0.7825 0.9826
0.2175 0.7835 0.5174
0.3175 0.2040 0.0105
0.6825 0.7960 0.9895
0.7825 0.2165 0.4826
0.7835 0.2175 0.0174
0.7960 0.6825 0.4895
0.0000 0.0000 0.0000
0.0000 0.0000 0.5000
0.0000 0.5000 0.5000
0.5000 0.0000 0.0000
0.0000 0.5000 0.0000
0.5000 0.0000 0.5000
0.5000 0.5000 0.0000
0.5000 0.5000 0.5000
```

Most intense lines, 2θ from 10° to 80°, by intensity:
2θ (°), I/Imax
32.3, 100
41.9, 34
26.0, 33
12.7, 26
31.8, 23
44.9, 19
22.7, 19
13.3, 18
42.1, 16
47.6, 15

***

Record 2
The following is a computed X-ray diffraction stick pattern of CdPb3Cl8. It was derived from DFT lattice parameters and positions (GGA-PBE), using copper Kα.
Peak positions follow from Bragg's law for the DFT cell and can differ from measured ones.

Structure:
```
CdPb3Cl8
1.0
4.0053 -6.3339 0.0000
4.0053 6.3339 0.0000
0.0000 0.0000 8.3061
Cd Pb Cl
1 3 8
direct
0.0000 0.0000 0.0000
0.0000 0.0000 0.5000
0.0000 0.5000 0.2449
0.5000 0.0000 0.7551
0.2111 0.7889 0.0000
0.2160 0.2532 0.2308
0.2307 0.7693 0.5000
0.2532 0.2160 0.7692
0.7468 0.7840 0.7692
0.7693 0.2307 0.5000
0.7840 0.7468 0.2308
0.7889 0.2111 0.0000
```

Most intense lines, 2θ from 10° to 80°, by intensity:
2θ (°), I/Imax
16.9, 100
31.0, 65
13.1, 63
42.4, 48
28.2, 38
26.2, 27
25.2, 24
25.6, 20
52.7, 19
26.3, 19

***

Record 3
The following is a computed X-ray diffraction stick pattern of Cd3Pb5Cl16. It was derived from DFT lattice parameters and positions (GGA-PBE), using copper Kα.
Peak positions follow from Bragg's law for the DFT cell and can differ from measured ones.

Structure:
```
Cd3Pb5Cl16
1.0
7.2496 -4.1045 0.0000
7.2496 4.1045 0.0000
-0.4755 0.0000 13.1684
Cd Pb Cl
3 5 16
direct
0.0000 0.0000 0.0000
0.1661 0.6662 0.4959
0.6662 0.1661 0.4959
0.1595 0.1595 0.2723
0.4913 0.4913 0.7618
0.4993 0.9980 0.9992
0.6661 0.6661 0.5006
0.9980 0.4993 0.9992
0.0024 0.5190 0.3826
0.1478 0.1478 0.8835
0.1537 0.6822 0.8893
0.3082 0.8578 0.1212
0.3153 0.3153 0.1383
0.3266 0.7997 0.6226
0.3450 0.3450 0.6070
0.4857 0.4857 0.3887
0.5190 0.0024 0.3826
0.6709 0.6709 0.8653
0.6822 0.1537 0.8893
0.7997 0.3266 0.6226
0.8459 0.8459 0.6043
0.8497 0.8497 0.1137
0.8578 0.3082 0.1212
0.9889 0.9889 0.3929
```

Most intense lines, 2θ from 10° to 80°, by intensity:
2θ (°), I/Imax
14.2, 100
25.6, 73
32.6, 62
13.4, 61
43.5, 58
24.9, 54
25.7, 51
14.0, 50
32.0, 36
18.5, 34

***

Record 4
The following is a computed X-ray diffraction stick pattern of Tl2CdPbCl6. It was derived from DFT lattice parameters and positions (GGA-PBE), using copper Kα.
Peak positions follow from Bragg's law for the DFT cell and can differ from measured ones.

Structure:
```
Tl2CdPbCl6
1.0
7.5782 0.0000 0.0000
0.0000 7.5782 0.0000
0.0000 0.0000 5.8605
Tl Cd Pb Cl
2 1 1 6
direct
0.0000 0.5000 0.0000
0.5000 0.0000 0.0000
0.0000 0.0000 0.5689
0.5000 0.5000 0.5909
0.0000 0.0000 0.1472
0.2375 0.2375 0.6833
0.2375 0.7625 0.6833
0.5000 0.5000 0.1155
0.7625 0.2375 0.6833
0.7625 0.7625 0.6833
```

Most intense lines, 2θ from 10° to 80°, by intensity:
2θ (°), I/Imax
22.5, 100
23.5, 47
40.7, 46
33.4, 40
38.9, 30
45.9, 16
34.9, 15
30.5, 15
48.0, 14
63.4, 14

***

Record 5
The following is a computed X-ray diffraction stick pattern of TlCdPbCl5. It was derived from DFT lattice parameters and positions (GGA-PBE), using copper Kα.
Peak positions follow from Bragg's law for the DFT cell and can differ from measured ones.

Structure:
```
TlCdPbCl5
1.0
4.6695 -6.3062 0.0000
4.6695 6.3062 0.0000
-4.1006 0.0000 9.4531
Tl Cd Pb Cl
2 2 2 10
direct
0.1588 0.8412 0.7500
0.8412 0.1588 0.2500
0.1811 0.8189 0.2500
0.8189 0.1811 0.7500
0.5000 0.5000 0.0000
0.5000 0.5000 0.5000
0.1146 0.2371 0.9418
0.1652 0.5811 0.3760
0.2371 0.1146 0.4418
0.4045 0.5955 0.7500
0.4189 0.8348 0.1240
0.5811 0.1652 0.8760
0.5955 0.4045 0.2500
0.7629 0.8854 0.5582
0.8348 0.4189 0.6240
0.8854 0.7629 0.0582
```

Most intense lines, 2θ from 10° to 80°, by intensity:
2θ (°), I/Imax
23.6, 100
18.8, 64
20.7, 50
38.1, 37
41.3, 30
30.3, 23
44.3, 19
36.0, 17
34.2, 16
36.4, 16

***

Record 6
The following is a computed X-ray diffraction stick pattern of Cd2PtCl. It was derived from DFT lattice parameters and positions (GGA-PBE), using copper Kα.
Peak positions follow from Bragg's law for the DFT cell and can differ from measured ones.

Structure:
```
Cd2PtCl
1.0
7.9135 -1.6185 0.0000
7.9135 1.6185 0.0000
-0.1043 0.0000 3.4225
Cd Pt Cl
2 1 1
direct
0.0000 0.0000 0.0000
0.2035 0.2035 0.0299
0.6037 0.6037 0.5100
0.3649 0.3649 0.9059
```

Most intense lines, 2θ from 10° to 80°, by intensity:
2θ (°), I/Imax
11.2, 100
39.8, 38
38.8, 32
38.6, 29
32.5, 25
34.1, 19
35.2, 19
68.0, 13
42.6, 13
44.0, 11

***

Record 7
The following is a computed X-ray diffraction stick pattern of Rb4Cd3Cl10. It was derived from DFT lattice parameters and positions (GGA-PBE), using copper Kα.
Peak positions follow from Bragg's law for the DFT cell and can differ from measured ones.

Structure:
```
Rb4Cd3Cl10
1.0
-2.6465 2.6465 18.6062
2.6465 -2.6465 18.6062
2.6465 2.6465 -18.6062
Rb Cd Cl
4 3 10
direct
0.0683 0.0683 0.0000
0.1997 0.1997 0.0000
0.8003 0.8003 0.0000
0.9317 0.9317 0.0000
0.3573 0.3573 0.0000
0.5000 0.5000 0.0000
0.6427 0.6427 0.0000
0.0000 0.5000 0.5000
0.1389 0.6389 0.5000
0.2881 0.2881 0.0000
0.3611 0.8611 0.5000
0.4295 0.4295 0.0000
0.5000 0.0000 0.5000
0.5705 0.5705 0.0000
0.6389 0.1389 0.5000
0.7119 0.7119 0.0000
0.8611 0.3611 0.5000
```

Most intense lines, 2θ from 10° to 80°, by intensity:
2θ (°), I/Imax
23.7, 100
33.9, 49
41.7, 39
48.5, 25
33.7, 19
48.7, 17
54.8, 14
66.0, 13
60.5, 12
30.7, 12

***

Record 8
The following is a computed X-ray diffraction stick pattern of Rb2CdCl4. It was derived from DFT lattice parameters and positions (GGA-PBE), using copper Kα.
Peak positions follow from Bragg's law for the DFT cell and can differ from measured ones.

Structure:
```
Rb2CdCl4
1.0
6.8978 -2.1008 0.0000
6.8978 2.1008 0.0000
-3.8964 0.0000 7.4942
Rb Cd Cl
2 1 4
direct
0.1570 0.1570 0.1814
0.8430 0.8430 0.8186
0.5000 0.5000 0.5000
0.1454 0.1454 0.5668
0.4544 0.4544 0.1685
0.5456 0.5456 0.8315
0.8546 0.8546 0.4332
```

Most intense lines, 2θ from 10° to 80°, by intensity:
2θ (°), I/Imax
30.5, 100
21.3, 49
23.7, 49
35.3, 33
38.9, 30
25.9, 30
36.0, 28
57.3, 23
43.1, 22
39.7, 21